# Ta2O5
Theoretical powder diffraction line list, Cu Kα (λ = 1.5418 Å). Input: a DFT-relaxed cell (GGA-PBE, Alexandria).

Top 10 peaks for 10 to 80 degrees two-theta, by angle:
14.43°, intensity 56; 15.08°, intensity 41; 16.34°, intensity 27; 29.11°, intensity 62; 30.17°, intensity 100; 30.43°, intensity 48; 33.02°, intensity 26; 35.58°, intensity 53; 48.45°, intensity 18; 50.19°, intensity 25

Structure:
a = 12.7525 Å, b = 7.0717 Å, c = 7.2113 Å
α = 90.00°, β = 121.68°, γ = 90.00°
Space group Cm (No. 8)
Symmetry-distinct sites (fractional):
1 Ta 0.0000 0.0000 0.0000 x2
2 Ta 0.0060 0.5000 0.5112 x2
3 Ta 0.0466 0.0000 0.5528 x2
4 Ta 0.0705 0.5000 0.1044 x2
5 Ta 0.2740 0.2359 0.5139 x4
6 O 0.0408 0.5000 0.8172 x2
7 O 0.0914 0.0000 0.8492 x2
8 O 0.1235 0.2311 0.1802 x4
9 O 0.1249 0.2998 0.5613 x4
10 O 0.2204 0.0000 0.6062 x2
11 O 0.2334 0.5000 0.3938 x2
12 O 0.3215 0.0000 0.4135 x2
13 O 0.3832 0.3068 0.8163 x4
14 O 0.4234 0.2919 0.4937 x4
15 O 0.4552 0.0000 0.1901 x2
16 O 0.4740 0.5000 0.2347 x2